# 1
Starting from a GGA-PBE-relaxed structure, the PXRD pattern of Ac3Zn2Pd6Au was computed for Cu Kα.

Cell and atoms:
Unit cell a=5.823 b=5.823 c=9.236 alpha=90.00 beta=90.00 gamma=120.00
Element x y z (fractional)
Ac  0.000  0.000  0.000
Ac  0.333  0.667  0.620
Ac  0.667  0.333  0.380
Zn  0.333  0.667  0.040
Zn  0.667  0.333  0.960
Pd  0.173  0.345  0.267
Pd  0.173  0.827  0.267
Pd  0.345  0.173  0.733
Pd  0.655  0.827  0.267
Pd  0.827  0.173  0.733
Pd  0.827  0.655  0.733
Au  0.000  0.000  0.500

Principal peaks in the range 2θ = 10–90°, by angle:
two_theta	I_rel
26.17	852
30.71	790
34.12	359
36.48	996
36.96	1000
40.77	888
43.09	522
58.43	258
63.26	404
63.95	424

---

# 2
Starting from a GGA-PBE-relaxed structure, the PXRD pattern of ZnB6N6 was computed for Cu Kα.

Cell and atoms:
Unit cell a=4.567 b=4.567 c=4.567 alpha=90.00 beta=90.00 gamma=90.00
Element x y z (fractional)
Zn  0.000  0.000  0.000
B  0.000  0.249  0.500
B  0.000  0.751  0.500
B  0.249  0.500  0.000
B  0.500  0.000  0.249
B  0.500  0.000  0.751
B  0.751  0.500  0.000
N  0.000  0.500  0.254
N  0.000  0.500  0.746
N  0.254  0.000  0.500
N  0.500  0.254  0.000
N  0.500  0.746  0.000
N  0.746  0.000  0.500

Principal peaks in the range 2θ = 10–90°, by angle:
two_theta	I_rel
19.43	1000
27.62	100
34.00	347
39.46	408
44.35	498
48.84	809
60.84	215
68.08	119
78.33	338
88.20	117

---

# 3
Starting from a GGA-PBE-relaxed structure, the PXRD pattern of PrY2Tl2Hg2 was computed for Cu Kα.

Cell and atoms:
Unit cell a=9.471 b=9.471 c=9.471 alpha=30.77 beta=30.77 gamma=30.77
Element x y z (fractional)
Pr  0.000  0.000  0.000
Y  0.133  0.133  0.133
Y  0.867  0.867  0.867
Tl  0.270  0.270  0.270
Tl  0.730  0.730  0.730
Hg  0.437  0.437  0.437
Hg  0.563  0.563  0.563

Principal peaks in the range 2θ = 10–90°, by angle:
two_theta	I_rel
19.69	149
24.32	176
30.95	1000
35.73	888
41.12	145
42.21	109
47.98	299
61.23	289
64.19	163
83.98	122